1.
For Tb2PS, DFT lattice parameters and positions (GGA-PBE) gives the theoretical powder XRD pattern in this record (CuKα).
Peak positions follow from Bragg's law for the DFT cell and can differ from measured ones.

Atomic structure:
a = 3.983 Å, b = 5.622 Å, c = 7.982 Å
α = 90.00°, β = 90.00°, γ = 90.00°
Fractional coordinates of all 8 atoms:
Tb: 0.250 0.250 0.119
Tb: 0.250 0.250 0.633
Tb: 0.750 0.750 0.367
Tb: 0.750 0.750 0.881
P: 0.250 0.750 0.127
P: 0.750 0.250 0.873
S: 0.250 0.750 0.622
S: 0.750 0.250 0.378

The 12 most intense peaks (2θ = 10–90°), in order of rising 2θ:
2θ 27.4, intensity 83; 2θ 31.8, intensity 100; 2θ 45.5, intensity 24; 2θ 45.6, intensity 48; 2θ 54.0, intensity 27; 2θ 54.1, intensity 14; 2θ 56.6, intensity 25; 2θ 73.3, intensity 13; 2θ 75.5, intensity 16; 2θ 75.6, intensity 11; 2θ 84.1, intensity 8; 2θ 84.2, intensity 12

2.
For Al5Sb, DFT lattice parameters and positions (GGA-PBE) gives the theoretical powder XRD pattern in this record (CuKα).
Peak positions follow from Bragg's law for the DFT cell and can differ from measured ones.

Atomic structure:
a = 5.188 Å, b = 5.188 Å, c = 4.836 Å
α = 90.00°, β = 90.00°, γ = 120.00°
Fractional coordinates of all 6 atoms:
Al: 0.000 0.647 0.000
Al: 0.333 0.667 0.500
Al: 0.353 0.353 0.000
Al: 0.647 0.000 0.000
Al: 0.667 0.333 0.500
Sb: 0.000 0.000 0.500

The 12 most intense peaks (2θ = 10–90°), in order of rising 2θ:
2θ 18.3, intensity 20; 2θ 19.8, intensity 44; 2θ 27.1, intensity 53; 2θ 34.6, intensity 33; 2θ 37.2, intensity 25; 2θ 39.4, intensity 100; 2θ 42.5, intensity 12; 2θ 51.7, intensity 20; 2θ 62.0, intensity 16; 2θ 68.5, intensity 19; 2θ 74.5, intensity 19; 2θ 76.0, intensity 14

3.
For Ca3Cd3GeO8, DFT lattice parameters and positions (GGA-PBE) gives the theoretical powder XRD pattern in this record (CuKα).
Peak positions follow from Bragg's law for the DFT cell and can differ from measured ones.

Atomic structure:
a = 6.625 Å, b = 6.625 Å, c = 6.625 Å
α = 61.09°, β = 61.09°, γ = 61.09°
Fractional coordinates of all 15 atoms:
Ca: 0.000 0.500 0.500
Ca: 0.500 0.000 0.500
Ca: 0.500 0.500 0.000
Cd: 0.000 0.000 0.500
Cd: 0.000 0.500 0.000
Cd: 0.500 0.000 0.000
Ge: 0.000 0.000 0.000
O: 0.209 0.790 0.790
O: 0.210 0.210 0.791
O: 0.210 0.791 0.210
O: 0.253 0.253 0.253
O: 0.747 0.747 0.747
O: 0.790 0.209 0.790
O: 0.790 0.790 0.209
O: 0.791 0.210 0.210

The 12 most intense peaks (2θ = 10–90°), in order of rising 2θ:
2θ 16.2, intensity 59; 2θ 31.4, intensity 16; 2θ 32.7, intensity 63; 2θ 33.4, intensity 20; 2θ 38.1, intensity 100; 2θ 54.5, intensity 31; 2θ 55.5, intensity 29; 2θ 65.0, intensity 10; 2θ 65.5, intensity 19; 2θ 66.3, intensity 9; 2θ 68.4, intensity 14; 2θ 89.8, intensity 9

4.
For ThTcW, DFT lattice parameters and positions (GGA-PBE) gives the theoretical powder XRD pattern in this record (CuKα).
Peak positions follow from Bragg's law for the DFT cell and can differ from measured ones.

Atomic structure:
a = 10.842 Å, b = 10.147 Å, c = 5.392 Å
α = 82.40°, β = 68.07°, γ = 29.53°
Fractional coordinates of all 12 atoms:
Th: 0.048 0.702 0.048
Th: 0.298 0.952 0.298
Th: 0.702 0.048 0.702
Th: 0.952 0.298 0.952
Tc: 0.311 0.311 0.439
Tc: 0.439 0.439 0.311
Tc: 0.561 0.561 0.689
Tc: 0.689 0.689 0.561
W: 0.001 0.001 0.749
W: 0.251 0.251 0.999
W: 0.749 0.749 0.001
W: 0.999 0.999 0.251

The 12 most intense peaks (2θ = 10–90°), in order of rising 2θ:
2θ 19.6, intensity 51; 2θ 33.5, intensity 55; 2θ 34.6, intensity 58; 2θ 36.1, intensity 91; 2θ 36.7, intensity 27; 2θ 37.5, intensity 60; 2θ 38.6, intensity 22; 2θ 40.6, intensity 41; 2θ 43.0, intensity 100; 2θ 46.1, intensity 31; 2θ 69.8, intensity 22; 2θ 70.5, intensity 21

5.
For HoGeOs, DFT lattice parameters and positions (GGA-PBE) gives the theoretical powder XRD pattern in this record (CuKα).
Peak positions follow from Bragg's law for the DFT cell and can differ from measured ones.

Atomic structure:
a = 4.365 Å, b = 4.365 Å, c = 3.500 Å
α = 90.00°, β = 90.00°, γ = 120.00°
Fractional coordinates of all 3 atoms:
Ho: 0.000 0.000 0.000
Ge: 0.333 0.667 0.500
Os: 0.667 0.333 0.500

The 12 most intense peaks (2θ = 10–90°), in order of rising 2θ:
2θ 23.5, intensity 14; 2θ 25.4, intensity 4; 2θ 34.9, intensity 100; 2θ 41.4, intensity 59; 2θ 49.2, intensity 4; 2θ 52.3, intensity 10; 2θ 55.2, intensity 27; 2θ 68.8, intensity 27; 2θ 71.3, intensity 25; 2θ 75.4, intensity 10; 2θ 87.5, intensity 8; 2θ 89.9, intensity 7

6.
For Cs2InP2, DFT lattice parameters and positions (GGA-PBE) gives the theoretical powder XRD pattern in this record (CuKα).
Peak positions follow from Bragg's law for the DFT cell and can differ from measured ones.

Atomic structure:
a = 8.899 Å, b = 8.899 Å, c = 8.899 Å
α = 128.25°, β = 71.37°, γ = 134.46°
Fractional coordinates of all 10 atoms:
Cs: 0.149 0.161 0.310
Cs: 0.351 0.661 0.013
Cs: 0.649 0.339 0.987
Cs: 0.851 0.839 0.690
In: 0.250 0.750 0.500
In: 0.750 0.250 0.500
P: 0.096 0.680 0.776
P: 0.404 0.180 0.583
P: 0.596 0.820 0.417
P: 0.904 0.320 0.224

The 12 most intense peaks (2θ = 10–90°), in order of rising 2θ:
2θ 21.2, intensity 89; 2θ 21.7, intensity 100; 2θ 27.1, intensity 94; 2θ 28.7, intensity 25; 2θ 29.0, intensity 53; 2θ 30.2, intensity 39; 2θ 33.9, intensity 33; 2θ 34.8, intensity 38; 2θ 35.2, intensity 25; 2θ 36.0, intensity 68; 2θ 41.1, intensity 34; 2θ 47.8, intensity 50

7.
For NaAs2Pd3, DFT lattice parameters and positions (GGA-PBE) gives the theoretical powder XRD pattern in this record (CuKα).
Peak positions follow from Bragg's law for the DFT cell and can differ from measured ones.

Atomic structure:
a = 8.173 Å, b = 8.173 Å, c = 7.689 Å
α = 114.54°, β = 114.54°, γ = 29.22°
Fractional coordinates of all 12 atoms:
Na: 0.156 0.156 0.066
Na: 0.844 0.844 0.934
As: 0.189 0.189 0.678
As: 0.485 0.485 0.828
As: 0.515 0.515 0.172
As: 0.811 0.811 0.322
Pd: 0.045 0.045 0.365
Pd: 0.318 0.318 0.577
Pd: 0.404 0.404 0.321
Pd: 0.596 0.596 0.679
Pd: 0.682 0.682 0.423
Pd: 0.955 0.955 0.635

The 12 most intense peaks (2θ = 10–90°), in order of rising 2θ:
2θ 12.4, intensity 14; 2θ 12.7, intensity 100; 2θ 32.8, intensity 9; 2θ 34.7, intensity 63; 2θ 37.9, intensity 48; 2θ 43.9, intensity 32; 2θ 44.2, intensity 59; 2θ 46.2, intensity 13; 2θ 46.8, intensity 19; 2θ 64.8, intensity 10; 2θ 66.1, intensity 13; 2θ 80.9, intensity 11

8.
For LiPm2BiO6, DFT lattice parameters and positions (GGA-PBE) gives the theoretical powder XRD pattern in this record (CuKα).
Peak positions follow from Bragg's law for the DFT cell and can differ from measured ones.

Atomic structure:
a = 5.977 Å, b = 5.977 Å, c = 5.977 Å
α = 57.98°, β = 57.98°, γ = 57.98°
Fractional coordinates of all 10 atoms:
Li: 0.000 0.000 0.000
Pm: 0.267 0.267 0.267
Pm: 0.768 0.768 0.768
Bi: 0.485 0.485 0.485
O: 0.122 0.690 0.358
O: 0.209 0.614 0.840
O: 0.358 0.122 0.690
O: 0.614 0.840 0.209
O: 0.690 0.358 0.122
O: 0.840 0.209 0.614

The 12 most intense peaks (2θ = 10–90°), in order of rising 2θ:
2θ 17.9, intensity 23; 2θ 18.7, intensity 64; 2θ 21.4, intensity 21; 2θ 29.9, intensity 100; 2θ 30.9, intensity 97; 2θ 35.9, intensity 29; 2θ 36.3, intensity 17; 2θ 43.5, intensity 45; 2θ 48.4, intensity 40; 2θ 54.3, intensity 43; 2θ 54.9, intensity 29; 2θ 72.5, intensity 18